CdHgSO: computed X-ray powder pattern (Cu Kα, 1.54184 Å), based on a cell relaxed with PBE.
Peak positions follow from Bragg's law for the DFT cell and can differ from measured ones.

Crystal structure
```
data_CdHgSO
_chemical_formula_sum 'Cd4 Hg4 S4 O4'
_space_group_name_H-M_alt 'P 21 21 21'
_space_group_IT_number 19
_cell_length_a 6.635
_cell_length_b 6.928
_cell_length_c 7.258
_cell_angle_alpha 90.00
_cell_angle_beta 90.00
_cell_angle_gamma 90.00
loop_
_space_group_symop_operation_xyz
'x,y,z'
'-x+1/2,-y,z+1/2'
'x+1/2,-y+1/2,-z'
'-x,y+1/2,-z+1/2'
loop_
_atom_site_label
_atom_site_type_symbol
_atom_site_fract_x
_atom_site_fract_y
_atom_site_fract_z
Cd1 Cd 0.024 0.090 0.177
Hg1 Hg 0.061 0.695 0.831
S1 S 0.222 0.157 0.868
O1 O 0.127 0.312 0.388
```

Main lines, in order of rising 2θ (2θ = 10–90°):
two_theta	intensity	(hkl)
24.53	42	0 0 2
26.87	53	2 0 0
29.08	85	1 2 0
30.91	100	1 1 2
31.64	86	1 2 1
38.40	37	1 2 2
39.01	34	2 1 2
44.79	43	3 1 1